Entry 1:
Structure and theoretical powder XRD pattern of Mg16Al12Sb (a crystal structure in Alexandria, relaxed with GGA-PBE; Cu Ka).

Top 10 peaks for 10° ≤ 2θ ≤ 90°, in order of falling intensity:
2θ (°), Rel. int.
35.65, 100.0
36.44, 91.8
36.11, 83.3
40.41, 45.1
11.98, 42.9
11.71, 28.3
33.94, 21.4
65.12, 19.3
42.93, 18.5
20.67, 17.4

Structure:
```
data_Mg16Al12Sb
_chemical_formula_sum 'Mg16 Al12 Sb1'
_space_group_name_H-M_alt 'P 1'
_space_group_IT_number 1
_space_group_name_Hall 'P 1'
_cell_length_a 9.084
_cell_length_b 9.084
_cell_length_c 9.084
_cell_angle_alpha 108.85
_cell_angle_beta 108.85
_cell_angle_gamma 108.85
loop_
_atom_site_label
_atom_site_fract_x
_atom_site_fract_y
_atom_site_fract_z
Mg1 0.000 0.000 0.000
Mg2 0.001 0.001 0.350
Mg3 0.001 0.350 0.001
Mg4 0.003 0.323 0.599
Mg5 0.003 0.599 0.323
Mg6 0.293 0.686 0.686
Mg7 0.323 0.003 0.599
Mg8 0.323 0.599 0.003
Mg9 0.350 0.001 0.001
Mg10 0.396 0.396 0.706
Mg11 0.396 0.706 0.396
Mg12 0.599 0.003 0.323
Mg13 0.599 0.323 0.003
Mg14 0.686 0.293 0.686
Mg15 0.686 0.686 0.293
Mg16 0.706 0.396 0.396
Al1 0.011 0.636 0.822
Al2 0.011 0.822 0.636
Al3 0.172 0.361 0.361
Al4 0.184 0.184 0.816
Al5 0.184 0.816 0.184
Al6 0.361 0.172 0.361
Al7 0.361 0.361 0.172
Al8 0.636 0.011 0.822
Al9 0.636 0.822 0.011
Al10 0.816 0.184 0.184
Al11 0.822 0.011 0.636
Al12 0.822 0.636 0.011
Sb1 0.663 0.663 0.663
```

---

Entry 2:
Structure and theoretical powder XRD pattern of MgAlSb4 (a crystal structure in Alexandria, relaxed with GGA-PBE; Cu Ka).

Top 10 peaks for 10° ≤ 2θ ≤ 90°, in order of falling intensity:
2θ (°), Rel. int.
33.61, 100.0
17.37, 90.5
35.15, 88.5
59.09, 35.3
40.81, 34.7
53.86, 33.9
70.65, 33.6
44.66, 24.1
84.06, 21.1
62.09, 17.8

Structure:
```
data_MgAlSb4
_chemical_formula_sum 'Mg1 Al1 Sb4'
_space_group_name_H-M_alt 'P 1'
_space_group_IT_number 1
_space_group_name_Hall 'P 1'
_cell_length_a 6.254
_cell_length_b 6.254
_cell_length_c 6.254
_cell_angle_alpha 60.00
_cell_angle_beta 60.00
_cell_angle_gamma 60.00
loop_
_atom_site_label
_atom_site_fract_x
_atom_site_fract_y
_atom_site_fract_z
Mg1 0.000 0.000 0.000
Al1 0.250 0.250 0.250
Sb1 0.126 0.625 0.625
Sb2 0.625 0.126 0.625
Sb3 0.625 0.625 0.126
Sb4 0.625 0.625 0.625
```

---

Entry 3:
Structure and theoretical powder XRD pattern of Mg2Sc2Al (a crystal structure in Alexandria, relaxed with GGA-PBE; Cu Ka).

Top 10 peaks for 10° ≤ 2θ ≤ 90°, in order of falling intensity:
2θ (°), Rel. int.
35.47, 100.0
38.60, 20.0
37.76, 19.2
67.82, 13.1
55.10, 11.8
71.79, 11.3
46.71, 11.2
62.15, 8.9
19.93, 7.3
66.74, 6.1

Structure:
```
data_Mg2Sc2Al
_chemical_formula_sum 'Mg2 Sc2 Al1'
_space_group_name_H-M_alt 'P 1'
_space_group_IT_number 1
_space_group_name_Hall 'P 1'
_cell_length_a 7.878
_cell_length_b 7.878
_cell_length_c 3.078
_cell_angle_alpha 90.00
_cell_angle_beta 90.00
_cell_angle_gamma 145.56
loop_
_atom_site_label
_atom_site_fract_x
_atom_site_fract_y
_atom_site_fract_z
Mg1 0.199 0.801 0.000
Mg2 0.801 0.199 0.000
Sc1 0.401 0.599 0.500
Sc2 0.599 0.401 0.500
Al1 0.000 0.000 0.000
```

---

Entry 4:
Structure and theoretical powder XRD pattern of MgSc3Al (a crystal structure in Alexandria, relaxed with GGA-PBE; Cu Ka).

Top 10 peaks for 10° ≤ 2θ ≤ 90°, in order of falling intensity:
2θ (°), Rel. int.
35.53, 100.0
37.60, 44.0
66.51, 27.7
62.42, 15.1
54.22, 14.0
47.88, 8.9
75.21, 8.4
26.76, 7.2
81.07, 5.5
80.25, 4.0

Structure:
```
data_MgSc3Al
_chemical_formula_sum 'Mg2 Sc6 Al2'
_space_group_name_H-M_alt 'P 1'
_space_group_IT_number 1
_space_group_name_Hall 'P 1'
_cell_length_a 9.796
_cell_length_b 9.796
_cell_length_c 4.783
_cell_angle_alpha 90.00
_cell_angle_beta 90.00
_cell_angle_gamma 151.72
loop_
_atom_site_label
_atom_site_fract_x
_atom_site_fract_y
_atom_site_fract_z
Mg1 0.154 0.846 0.750
Mg2 0.846 0.154 0.250
Sc1 0.058 0.942 0.250
Sc2 0.250 0.750 0.250
Sc3 0.442 0.558 0.250
Sc4 0.558 0.442 0.750
Sc5 0.750 0.250 0.750
Sc6 0.942 0.058 0.750
Al1 0.344 0.656 0.750
Al2 0.656 0.344 0.250
```

---

Entry 5:
Structure and theoretical powder XRD pattern of Mg16ScAl12 (a crystal structure in Alexandria, relaxed with GGA-PBE; Cu Ka).

Top 10 peaks for 10° ≤ 2θ ≤ 90°, in order of falling intensity:
2θ (°), Rel. int.
36.26, 100.0
65.23, 27.4
40.25, 25.5
43.93, 11.3
42.12, 11.1
76.98, 8.5
62.49, 7.8
88.19, 5.9
61.09, 5.3
70.56, 4.6

Structure:
```
data_Mg16ScAl12
_chemical_formula_sum 'Mg16 Sc1 Al12'
_space_group_name_H-M_alt 'P 1'
_space_group_IT_number 1
_space_group_name_Hall 'P 1'
_cell_length_a 9.102
_cell_length_b 9.102
_cell_length_c 9.102
_cell_angle_alpha 109.47
_cell_angle_beta 109.47
_cell_angle_gamma 109.47
loop_
_atom_site_label
_atom_site_fract_x
_atom_site_fract_y
_atom_site_fract_z
Mg1 0.000 0.000 0.649
Mg2 0.000 0.396 0.681
Mg3 0.000 0.649 0.000
Mg4 0.000 0.681 0.396
Mg5 0.286 0.604 0.604
Mg6 0.319 0.319 0.714
Mg7 0.319 0.714 0.319
Mg8 0.351 0.351 0.351
Mg9 0.396 0.000 0.681
Mg10 0.396 0.681 0.000
Mg11 0.604 0.286 0.604
Mg12 0.604 0.604 0.286
Mg13 0.649 0.000 0.000
Mg14 0.681 0.000 0.396
Mg15 0.681 0.396 0.000
Mg16 0.714 0.319 0.319
Sc1 0.000 0.000 0.000
Al1 0.000 0.185 0.365
Al2 0.000 0.365 0.185
Al3 0.180 0.815 0.815
Al4 0.185 0.000 0.365
Al5 0.185 0.365 0.000
Al6 0.365 0.000 0.185
Al7 0.365 0.185 0.000
Al8 0.635 0.635 0.820
Al9 0.635 0.820 0.635
Al10 0.815 0.180 0.815
Al11 0.815 0.815 0.180
Al12 0.820 0.635 0.635
```

---

Entry 6:
Structure and theoretical powder XRD pattern of Mg2Al2Se5 (a crystal structure in Alexandria, relaxed with GGA-PBE; Cu Ka).

Top 10 peaks for 10° ≤ 2θ ≤ 90°, in order of falling intensity:
2θ (°), Rel. int.
28.35, 100.0
30.77, 80.0
46.17, 72.3
46.36, 69.1
33.90, 65.9
26.81, 27.3
85.83, 24.0
26.39, 23.8
26.27, 23.3
67.50, 22.8

Structure:
```
data_Mg2Al2Se5
_chemical_formula_sum 'Mg2 Al2 Se5'
_space_group_name_H-M_alt 'P 1'
_space_group_IT_number 1
_space_group_name_Hall 'P 1'
_cell_length_a 3.917
_cell_length_b 3.917
_cell_length_c 16.889
_cell_angle_alpha 90.00
_cell_angle_beta 90.00
_cell_angle_gamma 120.00
loop_
_atom_site_label
_atom_site_fract_x
_atom_site_fract_y
_atom_site_fract_z
Mg1 0.333 0.667 0.095
Mg2 0.667 0.333 0.905
Al1 0.333 0.667 0.684
Al2 0.667 0.333 0.316
Se1 0.000 0.000 0.000
Se2 0.333 0.667 0.380
Se3 0.333 0.667 0.821
Se4 0.667 0.333 0.179
Se5 0.667 0.333 0.620
```

---

Entry 7:
Structure and theoretical powder XRD pattern of Mg16Al12Se (a crystal structure in Alexandria, relaxed with GGA-PBE; Cu Ka).

Top 10 peaks for 10° ≤ 2θ ≤ 90°, in order of falling intensity:
2θ (°), Rel. int.
36.20, 100.0
35.72, 96.1
36.53, 88.5
40.52, 36.5
40.26, 20.5
12.01, 19.9
61.44, 18.4
44.27, 17.5
34.02, 17.3
39.18, 17.2

Structure:
```
data_Mg16Al12Se
_chemical_formula_sum 'Mg16 Al12 Se1'
_space_group_name_H-M_alt 'P 1'
_space_group_IT_number 1
_space_group_name_Hall 'P 1'
_cell_length_a 9.061
_cell_length_b 9.061
_cell_length_c 9.061
_cell_angle_alpha 108.82
_cell_angle_beta 108.82
_cell_angle_gamma 108.82
loop_
_atom_site_label
_atom_site_fract_x
_atom_site_fract_y
_atom_site_fract_z
Mg1 0.000 0.000 0.000
Mg2 0.025 0.025 0.372
Mg3 0.025 0.372 0.025
Mg4 0.026 0.349 0.621
Mg5 0.026 0.621 0.349
Mg6 0.316 0.714 0.714
Mg7 0.349 0.026 0.621
Mg8 0.349 0.621 0.026
Mg9 0.372 0.025 0.025
Mg10 0.432 0.432 0.727
Mg11 0.432 0.727 0.432
Mg12 0.621 0.026 0.349
Mg13 0.621 0.349 0.026
Mg14 0.714 0.316 0.714
Mg15 0.714 0.714 0.316
Mg16 0.727 0.432 0.432
Al1 0.038 0.663 0.850
Al2 0.038 0.850 0.663
Al3 0.186 0.376 0.376
Al4 0.213 0.213 0.833
Al5 0.213 0.833 0.213
Al6 0.376 0.186 0.376
Al7 0.376 0.376 0.186
Al8 0.663 0.038 0.850
Al9 0.663 0.850 0.038
Al10 0.833 0.213 0.213
Al11 0.850 0.038 0.663
Al12 0.850 0.663 0.038
Se1 0.650 0.650 0.650
```

---

Entry 8:
Structure and theoretical powder XRD pattern of Mg2Al3Si6 (a crystal structure in Alexandria, relaxed with GGA-PBE; Cu Ka).

Top 10 peaks for 10° ≤ 2θ ≤ 90°, in order of falling intensity:
2θ (°), Rel. int.
38.66, 100.0
47.48, 16.8
43.20, 14.3
44.06, 13.2
82.37, 12.4
66.12, 7.8
66.77, 7.5
63.41, 6.2
82.91, 5.8
76.18, 5.8

Structure:
```
data_Mg2Al3Si6
_chemical_formula_sum 'Mg2 Al3 Si6'
_space_group_name_H-M_alt 'P 1'
_space_group_IT_number 1
_space_group_name_Hall 'P 1'
_cell_length_a 7.751
_cell_length_b 7.751
_cell_length_c 6.510
_cell_angle_alpha 104.00
_cell_angle_beta 104.00
_cell_angle_gamma 28.61
loop_
_atom_site_label
_atom_site_fract_x
_atom_site_fract_y
_atom_site_fract_z
Mg1 0.172 0.172 0.431
Mg2 0.828 0.828 0.569
Al1 0.000 0.000 0.500
Al2 0.090 0.090 0.967
Al3 0.910 0.910 0.033
Si1 0.291 0.291 0.840
Si2 0.343 0.343 0.238
Si3 0.470 0.470 0.780
Si4 0.530 0.530 0.220
Si5 0.657 0.657 0.762
Si6 0.709 0.709 0.160
```

---

Entry 9:
Structure and theoretical powder XRD pattern of Mg4AlSi6 (a crystal structure in Alexandria, relaxed with GGA-PBE; Cu Ka).

Top 10 peaks for 10° ≤ 2θ ≤ 90°, in order of falling intensity:
2θ (°), Rel. int.
36.92, 100.0
32.73, 81.7
38.98, 56.7
50.61, 38.4
46.49, 34.8
39.86, 30.3
39.63, 28.0
47.62, 22.8
35.68, 21.8
63.47, 21.5

Structure:
```
data_Mg4AlSi6
_chemical_formula_sum 'Mg4 Al1 Si6'
_space_group_name_H-M_alt 'P 1'
_space_group_IT_number 1
_space_group_name_Hall 'P 1'
_cell_length_a 8.445
_cell_length_b 8.445
_cell_length_c 6.790
_cell_angle_alpha 91.99
_cell_angle_beta 91.99
_cell_angle_gamma 24.66
loop_
_atom_site_label
_atom_site_fract_x
_atom_site_fract_y
_atom_site_fract_z
Mg1 0.080 0.080 0.404
Mg2 0.167 0.167 0.990
Mg3 0.833 0.833 0.010
Mg4 0.920 0.920 0.596
Al1 0.000 0.000 0.000
Si1 0.288 0.288 0.710
Si2 0.309 0.309 0.345
Si3 0.448 0.448 0.252
Si4 0.552 0.552 0.748
Si5 0.691 0.691 0.655
Si6 0.712 0.712 0.290
```

---

Entry 10:
Structure and theoretical powder XRD pattern of Mg4AlSi3 (a crystal structure in Alexandria, relaxed with GGA-PBE; Cu Ka).

Top 10 peaks for 10° ≤ 2θ ≤ 90°, in order of falling intensity:
2θ (°), Rel. int.
36.24, 100.0
43.27, 40.3
37.91, 24.5
39.66, 12.7
38.51, 11.2
61.30, 9.6
70.47, 9.0
33.02, 8.7
69.74, 8.7
23.07, 7.6

Structure:
```
data_Mg4AlSi3
_chemical_formula_sum 'Mg16 Al4 Si12'
_space_group_name_H-M_alt 'P 1'
_space_group_IT_number 1
_space_group_name_Hall 'P 1'
_cell_length_a 6.612
_cell_length_b 6.612
_cell_length_c 13.636
_cell_angle_alpha 90.00
_cell_angle_beta 90.00
_cell_angle_gamma 90.00
loop_
_atom_site_label
_atom_site_fract_x
_atom_site_fract_y
_atom_site_fract_z
Mg1 0.062 0.595 0.099
Mg2 0.062 0.905 0.599
Mg3 0.095 0.562 0.401
Mg4 0.095 0.938 0.901
Mg5 0.405 0.562 0.901
Mg6 0.405 0.938 0.401
Mg7 0.438 0.595 0.599
Mg8 0.438 0.905 0.099
Mg9 0.562 0.095 0.901
Mg10 0.562 0.405 0.401
Mg11 0.595 0.062 0.599
Mg12 0.595 0.438 0.099
Mg13 0.905 0.062 0.099
Mg14 0.905 0.438 0.599
Mg15 0.938 0.095 0.401
Mg16 0.938 0.405 0.901
Al1 0.250 0.250 0.218
Al2 0.250 0.250 0.718
Al3 0.750 0.750 0.282
Al4 0.750 0.750 0.782
Si1 0.119 0.619 0.750
Si2 0.119 0.881 0.250
Si3 0.250 0.250 0.017
Si4 0.250 0.250 0.517
Si5 0.381 0.619 0.250
Si6 0.381 0.881 0.750
Si7 0.619 0.119 0.250
Si8 0.619 0.381 0.750
Si9 0.750 0.750 0.483
Si10 0.750 0.750 0.983
Si11 0.881 0.119 0.750
Si12 0.881 0.381 0.250
```

---

Entry 11:
Structure and theoretical powder XRD pattern of SmMgAl3 (a crystal structure in Alexandria, relaxed with GGA-PBE; Cu Ka).

Top 10 peaks for 10° ≤ 2θ ≤ 90°, in order of falling intensity:
2θ (°), Rel. int.
33.79, 100.0
38.92, 50.7
34.66, 46.9
23.60, 42.0
20.59, 37.0
39.57, 26.9
53.60, 26.7
19.83, 25.3
36.41, 23.9
66.99, 20.2

Structure:
```
data_SmMgAl3
_chemical_formula_sum 'Sm2 Mg2 Al6'
_space_group_name_H-M_alt 'P 1'
_space_group_IT_number 1
_space_group_name_Hall 'P 1'
_cell_length_a 13.547
_cell_length_b 13.547
_cell_length_c 4.555
_cell_angle_alpha 90.00
_cell_angle_beta 90.00
_cell_angle_gamma 165.14
loop_
_atom_site_label
_atom_site_fract_x
_atom_site_fract_y
_atom_site_fract_z
Sm1 0.075 0.925 0.750
Sm2 0.925 0.075 0.250
Mg1 0.216 0.784 0.250
Mg2 0.784 0.216 0.750
Al1 0.322 0.678 0.250
Al2 0.375 0.625 0.750
Al3 0.475 0.525 0.750
Al4 0.525 0.475 0.250
Al5 0.625 0.375 0.250
Al6 0.678 0.322 0.750
```

---

Entry 12:
Structure and theoretical powder XRD pattern of SmMgAl (a crystal structure in Alexandria, relaxed with GGA-PBE; Cu Ka).

Top 10 peaks for 10° ≤ 2θ ≤ 90°, in order of falling intensity:
2θ (°), Rel. int.
32.27, 100.0
21.41, 70.5
37.53, 45.9
50.31, 28.6
64.43, 27.1
63.18, 15.8
44.96, 13.0
88.99, 11.5
53.90, 11.5
43.61, 11.2

Structure:
```
data_SmMgAl
_chemical_formula_sum 'Sm2 Mg2 Al2'
_space_group_name_H-M_alt 'P 1'
_space_group_IT_number 1
_space_group_name_Hall 'P 1'
_cell_length_a 4.793
_cell_length_b 4.793
_cell_length_c 7.459
_cell_angle_alpha 90.00
_cell_angle_beta 90.00
_cell_angle_gamma 120.00
loop_
_atom_site_label
_atom_site_fract_x
_atom_site_fract_y
_atom_site_fract_z
Sm1 0.000 0.000 0.236
Sm2 0.000 0.000 0.764
Mg1 0.333 0.667 0.531
Mg2 0.667 0.333 0.469
Al1 0.333 0.667 0.975
Al2 0.667 0.333 0.025
```